No. 1
Theoretical powder diffractogram of Al2CuSi2O7F2 for Cu Kα, 1.54184 Å, from DFT lattice parameters and positions (PBE).
No peak broadening, texture or thermal motion is included.

Cell: 8.969 14.204 4.827 Å, 90.00 90.00 90.00°
Space group Pnma (No. 62)
Unique sites:
1 Al 0.131 0.050 0.096 [8 per cell]
2 Cu 0.148 0.250 0.146 [4 per cell]
3 Si 0.061 0.647 0.404 [8 per cell]
4 O 0.014 0.559 0.197 [8 per cell]
5 O 0.026 0.750 0.258 [4 per cell]
6 O 0.036 0.143 0.308 [8 per cell]
7 O 0.242 0.646 0.470 [8 per cell]
8 F 0.246 0.531 0.893 [8 per cell]

Largest 10 diffraction maxima, in order of rising 2θ, 2θ = 15–90°:
(2 1 0), 2θ = 20.77°, d 4.277, intensity 24
(1 1 1), 2θ = 21.82°, d 4.072, intensity 100
(2 0 1), 2θ = 27.14°, d 3.286, intensity 82
(1 4 1), 2θ = 32.86°, d 2.725, intensity 41
(3 0 1), 2θ = 35.31°, d 2.542, intensity 19
(2 5 0), 2θ = 37.48°, d 2.400, intensity 37
(2 5 1), 2θ = 42.05°, d 2.149, intensity 23
(1 6 1), 2θ = 43.77°, d 2.068, intensity 18
(1 6 2), 2θ = 55.32°, d 1.661, intensity 25
(5 5 1), 2θ = 64.39°, d 1.447, intensity 24

No. 2
Theoretical powder diffractogram of AlCu2SF for Cu Kα, 1.54184 Å, from DFT lattice parameters and positions (PBE).
No peak broadening, texture or thermal motion is included.

Cell: 3.866 3.866 5.429 Å, 90.00 90.00 90.00°
Space group P4/mmm (No. 123)
Unique sites:
1 Al 0.000 0.000 0.000 [1 per cell]
2 Cu 0.000 0.500 0.500 [2 per cell]
3 S 0.500 0.500 0.000 [1 per cell]
4 F 0.500 0.500 0.500 [1 per cell]

Largest 10 diffraction maxima, in order of rising 2θ, 2θ = 15–90°:
(0 0 1), 2θ = 16.33°, d 5.429, intensity 53
(0 0 2), 2θ = 33.00°, d 2.715, intensity 51
(1 1 1), 2θ = 36.81°, d 2.442, intensity 100
(2 0 0), 2θ = 47.00°, d 1.933, intensity 35
(2 0 1), 2θ = 50.09°, d 1.821, intensity 12
(2 0 2), 2θ = 58.62°, d 1.575, intensity 34
(1 1 3), 2θ = 61.44°, d 1.509, intensity 21
(2 2 0), 2θ = 68.66°, d 1.367, intensity 10
(2 2 2), 2θ = 78.31°, d 1.221, intensity 14
(3 1 1), 2θ = 80.53°, d 1.193, intensity 19

No. 3
Theoretical powder diffractogram of Al7FeCu2 for Cu Kα, 1.54184 Å, from DFT lattice parameters and positions (PBE).
No peak broadening, texture or thermal motion is included.

Cell: 6.323 6.323 14.774 Å, 90.00 90.00 90.00°
Space group P4/mnc (No. 128)
Unique sites:
1 Al 0.000 0.000 0.134 [4 per cell]
2 Al 0.084 0.294 0.400 [16 per cell]
3 Al 0.163 0.663 0.250 [8 per cell]
4 Fe 0.000 0.000 0.299 [4 per cell]
5 Cu 0.087 0.728 0.000 [8 per cell]

Largest 10 diffraction maxima, in order of rising 2θ, 2θ = 15–90°:
(1 0 3), 2θ = 22.89°, d 3.885, intensity 64
(1 1 2), 2θ = 23.26°, d 3.825, intensity 31
(0 0 4), 2θ = 24.10°, d 3.693, intensity 18
(2 0 2), 2θ = 30.76°, d 2.906, intensity 19
(2 1 4), 2θ = 40.16°, d 2.245, intensity 100
(2 2 2), 2θ = 42.24°, d 2.140, intensity 32
(2 1 5), 2θ = 44.34°, d 2.043, intensity 95
(3 1 0), 2θ = 45.34°, d 2.000, intensity 65
(3 1 1), 2θ = 45.80°, d 1.981, intensity 67
(5 0 5), 2θ = 83.08°, d 1.163, intensity 22

No. 4
Theoretical powder diffractogram of Al3FeCu2 for Cu Kα, 1.54184 Å, from DFT lattice parameters and positions (PBE).
No peak broadening, texture or thermal motion is included.

Cell: 4.175 12.572 5.849 Å, 90.00 90.00 90.00°
Space group Cmmm (No. 65)
Unique sites:
1 Al 0.000 0.000 0.242 [4 per cell]
2 Al 0.000 0.328 0.237 [8 per cell]
3 Fe 0.000 0.163 0.000 [4 per cell]
4 Cu 0.000 0.162 0.500 [4 per cell]
5 Cu 0.000 0.500 0.000 [2 per cell]
6 Cu 0.000 0.500 0.500 [2 per cell]

Largest 10 diffraction maxima, in order of rising 2θ, 2θ = 15–90°:
(1 3 0), 2θ = 30.22°, d 2.958, intensity 25
(0 0 2), 2θ = 30.57°, d 2.925, intensity 12
(0 6 0), 2θ = 43.18°, d 2.095, intensity 25
(2 0 0), 2θ = 43.34°, d 2.088, intensity 26
(1 3 2), 2θ = 43.52°, d 2.080, intensity 100
(2 6 0), 2θ = 62.84°, d 1.479, intensity 16
(0 0 4), 2θ = 63.63°, d 1.462, intensity 7
(1 9 2), 2θ = 79.42°, d 1.207, intensity 15
(3 3 2), 2θ = 79.65°, d 1.204, intensity 15
(2 0 4), 2θ = 80.13°, d 1.198, intensity 7

No. 5
Theoretical powder diffractogram of Al37Fe12Cu2 for Cu Kα, 1.54184 Å, from DFT lattice parameters and positions (PBE).
No peak broadening, texture or thermal motion is included.

Cell: 15.562 7.872 12.453 Å, 90.00 108.11 90.00°
Space group Cm (No. 8)
Unique sites:
1 Al 0.000 0.000 0.000 [2 per cell]
2 Al 0.001 0.000 0.605 [2 per cell]
3 Al 0.027 0.500 0.106 [2 per cell]
4 Al 0.034 0.500 0.521 [2 per cell]
5 Al 0.077 0.000 0.833 [2 per cell]
6 Al 0.082 0.287 0.950 [4 per cell]
7 Al 0.086 0.288 0.725 [4 per cell]
8 Al 0.089 0.000 0.344 [2 per cell]
9 Al 0.134 0.207 0.172 [4 per cell]
10 Al 0.136 0.208 0.542 [4 per cell]
11 Al 0.184 0.500 0.278 [2 per cell]
12 Al 0.197 0.500 0.485 [2 per cell]
13 Al 0.209 0.500 0.889 [2 per cell]
14 Al 0.248 0.000 0.894 [2 per cell]
15 Al 0.257 0.221 0.398 [4 per cell]
16 Al 0.267 0.249 0.065 [4 per cell]
17 Al 0.278 0.230 0.733 [4 per cell]
18 Al 0.289 0.000 0.231 [2 per cell]
19 Al 0.333 0.500 0.238 [2 per cell]
20 Al 0.342 0.500 0.650 [2 per cell]
21 Al 0.395 0.222 0.950 [4 per cell]
22 Al 0.400 0.207 0.586 [4 per cell]
23 Al 0.442 0.000 0.786 [2 per cell]
24 Al 0.447 0.283 0.401 [4 per cell]
25 Al 0.454 0.286 0.174 [4 per cell]
26 Al 0.461 0.000 0.290 [2 per cell]
27 Fe 0.087 0.295 0.340 [4 per cell]
28 Fe 0.165 0.000 0.694 [2 per cell]
29 Fe 0.169 0.000 0.048 [2 per cell]
30 Fe 0.177 0.500 0.075 [2 per cell]
31 Fe 0.179 0.500 0.675 [2 per cell]
32 Fe 0.351 0.500 0.445 [2 per cell]
33 Fe 0.358 0.500 0.058 [2 per cell]
34 Fe 0.366 0.000 0.077 [2 per cell]
35 Fe 0.371 0.000 0.432 [2 per cell]
36 Fe 0.452 0.294 0.785 [4 per cell]
37 Cu 0.269 0.000 0.566 [2 per cell]
38 Cu 0.347 0.500 0.846 [2 per cell]

Largest 10 diffraction maxima, in order of rising 2θ, 2θ = 15–90°:
(2 0 2), 2θ = 21.97°, d 4.045, intensity 32
(0 0 3), 2θ = 22.56°, d 3.941, intensity 27
(4 0 0), 2θ = 24.08°, d 3.696, intensity 18
(2 2 0), 2θ = 25.64°, d 3.474, intensity 34
(6 2 -3), 2θ = 43.33°, d 2.088, intensity 100
(2 0 -6), 2θ = 43.64°, d 2.074, intensity 40
(6 0 -5), 2θ = 44.01°, d 2.058, intensity 45
(0 2 5), 2θ = 44.67°, d 2.029, intensity 37
(4 2 3), 2θ = 44.85°, d 2.021, intensity 91
(0 4 0), 2θ = 46.12°, d 1.968, intensity 44

No. 6
Theoretical powder diffractogram of AlFe3Cu for Cu Kα, 1.54184 Å, from DFT lattice parameters and positions (PBE).
No peak broadening, texture or thermal motion is included.

Cell: 4.9264 4.9264 18.6176 Å, 90.00 90.00 120.00°
Space group R-3m (No. 166, hexagonal axes)
Unique sites:
1 Al 0.0000 0.0000 0.0882 [6 per cell]
2 Fe 0.0041 0.5020 0.8856 [18 per cell]
3 Cu 0.0000 0.0000 0.3343 [6 per cell]

Largest 10 diffraction maxima, in order of rising 2θ, 2θ = 15–90°:
(1 0 1), 2θ = 21.37°, d 4.159, intensity 50
(1 1 3), 2θ = 39.36°, d 2.289, intensity 68
(1 0 7), 2θ = 39.94°, d 2.257, intensity 20
(0 2 1), 2θ = 42.66°, d 2.119, intensity 39
(0 0 9), 2θ = 43.76°, d 2.069, intensity 52
(0 1 8), 2θ = 44.34°, d 2.043, intensity 19
(0 2 4), 2θ = 46.85°, d 1.939, intensity 100
(2 0 5), 2θ = 49.23°, d 1.851, intensity 81
(1 1 12), 2θ = 71.92°, d 1.313, intensity 19
(2 2 0), 2θ = 77.50°, d 1.232, intensity 30